# 1
Computed PXRD pattern of Pr2Ga5Au3 for Cu Kα (weighted mean of Kα1 and Kα2), from a DFT-relaxed cell (PBE, the Materials Project).
Neutral-atom scattering factors, no anomalous dispersion.

Atomic structure:
```
data_Pr2Ga5Au3
_chemical_formula_sum 'Pr2 Ga5 Au3'
_cell_length_a 4.3976
_cell_length_b 4.3976
_cell_length_c 10.8109
_cell_angle_alpha 90.00
_cell_angle_beta 90.00
_cell_angle_gamma 90.00
_space_group_name_H-M_alt 'P -4 m 2'
_space_group_IT_number 115
loop_
_space_group_symop_operation_xyz
'x,y,z'
'y,-x,-z'
'-x,-y,z'
'-y,x,-z'
'-x,y,z'
'-y,-x,-z'
'x,-y,z'
'y,x,-z'
loop_
_atom_site_label
_atom_site_fract_x
_atom_site_fract_y
_atom_site_fract_z
Pr1 0.0000 0.5000 0.2479
Ga1 0.0000 0.0000 0.5000
Ga2 0.0000 0.5000 0.8641
Ga3 0.5000 0.5000 0.0000
Ga4 0.5000 0.5000 0.5000
Au1 0.0000 0.0000 0.0000
Au2 0.0000 0.5000 0.6310
```

Main lines, low angle first (2θ from 5° to 70°):
2.787 Å, I 742, (1 0 3); 2.695 Å, I 1000, (1 1 2); 2.199 Å, I 761, (2 0 0); 2.040 Å, I 358, (1 1 4); 1.940 Å, I 383, (1 0 5); 1.726 Å, I 362, (2 1 3)

# 2
Computed PXRD pattern of Cu2Te3O8 for Cu Kα (weighted mean of Kα1 and Kα2), from a DFT-relaxed cell (PBE, the Materials Project).
Neutral-atom scattering factors, no anomalous dispersion.

Atomic structure:
```
data_Cu2Te3O8
_chemical_formula_sum 'Cu8 Te12 O32'
_cell_length_a 11.9466
_cell_length_b 5.3790
_cell_length_c 12.4703
_cell_angle_alpha 90.00
_cell_angle_beta 100.11
_cell_angle_gamma 90.00
_space_group_name_H-M_alt 'C 1 2/c 1'
_space_group_IT_number 15
loop_
_space_group_symop_operation_xyz
'x,y,z'
'-x,-y,-z'
'-x,y,-z+1/2'
'x,-y,z+1/2'
'x+1/2,y+1/2,z'
'-x+1/2,-y+1/2,-z'
'-x+1/2,y+1/2,-z+1/2'
'x+1/2,-y+1/2,z+1/2'
loop_
_atom_site_label
_atom_site_fract_x
_atom_site_fract_y
_atom_site_fract_z
Cu1 0.2332 0.2320 0.3417
Te1 0.0000 0.1291 0.7500
Te2 0.1352 0.2136 0.0546
O1 0.0862 0.0931 0.3522
O2 0.1189 0.0976 0.6429
O3 0.1888 0.4072 0.1811
O4 0.2224 0.4590 0.9519
```

Main lines, low angle first (2θ from 5° to 70°):
4.892 Å, I 368, (1 1 0); 3.917 Å, I 293, (2 0 2); 3.178 Å, I 721, (3 1 -1); 3.032 Å, I 1000, (1 1 3); 2.941 Å, I 368, (2 0 -4); 2.690 Å, I 243, (0 2 0)

# 3
Computed PXRD pattern of BaP2Ru2 for Cu Kα (weighted mean of Kα1 and Kα2), from a DFT-relaxed cell (PBE, the Materials Project).
Neutral-atom scattering factors, no anomalous dispersion.

Atomic structure:
```
data_BaP2Ru2
_chemical_formula_sum 'Ba2 P4 Ru4'
_cell_length_a 4.0705
_cell_length_b 4.0705
_cell_length_c 12.2303
_cell_angle_alpha 90.00
_cell_angle_beta 90.00
_cell_angle_gamma 90.00
_space_group_name_H-M_alt 'I 4/m m m'
_space_group_IT_number 139
_space_group_name_Hall '-I 4 2'
loop_
_atom_site_label
_atom_site_fract_x
_atom_site_fract_y
_atom_site_fract_z
Ba1 0.0000 0.0000 0.0000
P1 0.0000 0.0000 0.3432
Ru1 0.0000 0.5000 0.2500
```

Main lines, low angle first (2θ from 5° to 70°):
3.862 Å, I 259, (1 0 1); 3.058 Å, I 341, (0 0 4); 2.880 Å, I 499, (1 0 3); 2.604 Å, I 1000, (1 1 2); 2.035 Å, I 386, (2 0 0); 1.663 Å, I 578, (1 1 6)

# 4
Computed PXRD pattern of Lu2C for Cu Kα (weighted mean of Kα1 and Kα2), from a DFT-relaxed cell (PBE, the Materials Project).
Neutral-atom scattering factors, no anomalous dispersion.

Atomic structure:
```
data_Lu2C
_chemical_formula_sum 'Lu6 C3'
_cell_length_a 3.5138
_cell_length_b 3.5138
_cell_length_c 17.6308
_cell_angle_alpha 90.00
_cell_angle_beta 90.00
_cell_angle_gamma 120.00
_space_group_name_H-M_alt 'R -3 m'
_space_group_IT_number 166
_space_group_name_Hall '-R 3 2"'
loop_
_atom_site_label
_atom_site_fract_x
_atom_site_fract_y
_atom_site_fract_z
Lu1 0.0000 0.0000 0.2409
C1 0.0000 0.0000 0.5000
```

Main lines, low angle first (2θ from 5° to 70°):
2.938 Å, I 315, (0 0 6); 2.876 Å, I 1000, (0 1 2); 2.504 Å, I 749, (1 0 4); 1.785 Å, I 231, (0 1 8); 1.757 Å, I 272, (1 1 0); 1.508 Å, I 266, (1 1 6)

# 5
Computed PXRD pattern of MgO for Cu Kα (weighted mean of Kα1 and Kα2), from a DFT-relaxed cell (PBE, the Materials Project).
Neutral-atom scattering factors, no anomalous dispersion.

Atomic structure:
```
data_MgO
_chemical_formula_sum 'Mg24 O24'
_cell_length_a 25.5498
_cell_length_b 3.4739
_cell_length_c 7.5771
_cell_angle_alpha 90.00
_cell_angle_beta 94.39
_cell_angle_gamma 90.00
_space_group_name_H-M_alt 'C 1 m 1'
_space_group_IT_number 8
loop_
_space_group_symop_operation_xyz
'x,y,z'
'x,-y,z'
'x+1/2,y+1/2,z'
'x+1/2,-y+1/2,z'
loop_
_atom_site_label
_atom_site_fract_x
_atom_site_fract_y
_atom_site_fract_z
Mg1 0.0000 0.0000 0.0000
Mg2 0.0137 0.0000 0.4023
Mg3 0.0592 0.5000 0.6784
Mg4 0.0865 0.5000 0.1242
Mg5 0.1289 0.0000 0.3932
Mg6 0.2239 0.5000 0.2146
Mg7 0.2942 0.0000 0.9314
Mg8 0.3089 0.0000 0.3074
Mg9 0.3404 0.5000 0.5964
Mg10 0.3841 0.5000 0.0118
Mg11 0.4236 0.0000 0.3089
Mg12 0.4398 0.0000 0.6961
O1 0.0340 0.5000 0.9164
O2 0.0634 0.0000 0.2100
O3 0.0839 0.0000 0.5909
O4 0.1520 0.5000 0.2947
O5 0.2434 0.0000 0.1111
O6 0.2858 0.5000 0.3969
O7 0.3158 0.5000 0.8346
O8 0.3608 0.0000 0.1182
O9 0.3754 0.0000 0.5179
O10 0.4352 0.5000 0.8220
O11 0.4510 0.5000 0.2092
O12 0.4910 0.0000 0.5077
```

Main lines, low angle first (2θ from 5° to 70°):
12.737 Å, I 1000, (2 0 0); 7.555 Å, I 249, (0 0 1); 2.990 Å, I 453, (3 1 -1); 2.936 Å, I 210, (6 0 -2); 2.348 Å, I 231, (8 0 2); 1.705 Å, I 246, (9 1 -3)

# 6
Computed PXRD pattern of PrZnSn for Cu Kα (weighted mean of Kα1 and Kα2), from a DFT-relaxed cell (PBE, the Materials Project).
Neutral-atom scattering factors, no anomalous dispersion.

Atomic structure:
```
data_PrZnSn
_chemical_formula_sum 'Pr4 Zn4 Sn4'
_cell_length_a 4.6016
_cell_length_b 4.6016
_cell_length_c 16.6315
_cell_angle_alpha 90.00
_cell_angle_beta 90.00
_cell_angle_gamma 120.00
_space_group_name_H-M_alt 'P 63/m m c'
_space_group_IT_number 194
_space_group_name_Hall '-P 6c 2c'
loop_
_atom_site_label
_atom_site_fract_x
_atom_site_fract_y
_atom_site_fract_z
Pr1 0.0000 0.0000 0.0000
Pr2 0.0000 0.0000 0.2500
Zn1 0.3333 0.6667 0.1551
Sn1 0.3333 0.6667 0.6157
```

Main lines, low angle first (2θ from 5° to 70°):
3.236 Å, I 139, (1 0 3); 2.877 Å, I 1000, (1 0 4); 2.301 Å, I 585, (1 1 0); 1.797 Å, I 253, (2 0 4); 1.543 Å, I 196, (1 1 8); 1.416 Å, I 231, (2 1 4)

# 7
Computed PXRD pattern of InAs2PbO8 for Cu Kα (weighted mean of Kα1 and Kα2), from a DFT-relaxed cell (PBE, the Materials Project).
Neutral-atom scattering factors, no anomalous dispersion.

Atomic structure:
```
data_InAs2PbO8
_chemical_formula_sum 'In4 As8 Pb4 O32'
_cell_length_a 5.0912
_cell_length_b 8.6185
_cell_length_c 16.4438
_cell_angle_alpha 90.00
_cell_angle_beta 104.67
_cell_angle_gamma 90.00
_space_group_name_H-M_alt 'P 1 21/c 1'
_space_group_IT_number 14
loop_
_space_group_symop_operation_xyz
'x,y,z'
'-x,-y,-z'
'-x,y+1/2,-z+1/2'
'x,-y+1/2,z+1/2'
loop_
_atom_site_label
_atom_site_fract_x
_atom_site_fract_y
_atom_site_fract_z
In1 0.1965 0.0470 0.3584
As1 0.1909 0.7047 0.0165
As2 0.4210 0.7363 0.2633
Pb1 0.2757 0.0208 0.8806
O1 0.0679 0.2335 0.4323
O2 0.0795 0.6608 0.9122
O3 0.1933 0.5818 0.2338
O4 0.2517 0.5900 0.7530
O5 0.3380 0.6097 0.5185
O6 0.3561 0.2468 0.8010
O7 0.3884 0.5557 0.0660
O8 0.4248 0.1744 0.1364
```

Main lines, low angle first (2θ from 5° to 70°):
4.762 Å, I 346, (1 0 -2); 3.781 Å, I 707, (1 0 2); 3.296 Å, I 257, (1 1 -4); 3.195 Å, I 1000, (1 2 -2); 2.923 Å, I 731, (0 2 4); 2.629 Å, I 273, (1 0 -6)